Record 1
Structure and simulated powder diffraction line list of Pr3Si6N11 (a structure optimized by DFT (PBE); CuKα).
Neutral-atom scattering factors, no anomalous dispersion.

Cell and atoms:
Lattice parameters (Å, degrees): 10.1155 10.1155 4.8555 90.00 90.00 90.00
Atoms (fractional coordinates):
Pr 0.0000 0.0000 0.0000
Pr 0.1816 0.3184 0.0189
Pr 0.3184 0.8184 0.0189
Pr 0.5000 0.5000 0.0000
Pr 0.6816 0.1816 0.0189
Pr 0.8184 0.6816 0.0189
Si 0.0786 0.7907 0.5414
Si 0.1171 0.6171 0.0520
Si 0.2093 0.0786 0.5414
Si 0.2907 0.5786 0.5414
Si 0.3829 0.1171 0.0520
Si 0.4214 0.2907 0.5414
Si 0.5786 0.7093 0.5414
Si 0.6171 0.8829 0.0520
Si 0.7093 0.4214 0.5414
Si 0.7907 0.9214 0.5414
Si 0.8829 0.3829 0.0520
Si 0.9214 0.2093 0.5414
N 0.0000 0.5000 0.0848
N 0.0754 0.7704 0.1870
N 0.0804 0.1800 0.6519
N 0.1523 0.6523 0.7041
N 0.1800 0.9196 0.6519
N 0.2296 0.0754 0.1870
N 0.2704 0.5754 0.1870
N 0.3200 0.4196 0.6519
N 0.3477 0.1523 0.7041
N 0.4196 0.6800 0.6519
N 0.4246 0.2704 0.1870
N 0.5000 0.0000 0.0848
N 0.5754 0.7296 0.1870
N 0.5804 0.3200 0.6519
N 0.6523 0.8477 0.7041
N 0.6800 0.5804 0.6519
N 0.7296 0.4246 0.1870
N 0.7704 0.9246 0.1870
N 0.8200 0.0804 0.6519
N 0.8477 0.3477 0.7041
N 0.9196 0.8200 0.6519
N 0.9246 0.2296 0.1870

Main lines, in order of rising 2θ (2θ = 15–90°):
4.855 Å, 18.27 deg, rel. 76; 3.310 Å, 26.94 deg, rel. 63; 3.199 Å, 27.89 deg, rel. 40; 2.880 Å, 31.06 deg, rel. 70; 2.671 Å, 33.55 deg, rel. 100; 2.453 Å, 36.63 deg, rel. 43; 2.428 Å, 37.02 deg, rel. 47; 2.190 Å, 41.23 deg, rel. 35

Record 2
Structure and simulated powder diffraction line list of Pr3Ta2N6 (a structure optimized by DFT (PBE); CuKα).
Neutral-atom scattering factors, no anomalous dispersion.

Cell and atoms:
Lattice parameters (Å, degrees): 10.3493 10.3493 10.3493 157.40 157.40 32.17
Atoms (fractional coordinates):
Pr 0.0000 0.0000 0.0000
Pr 0.1797 0.1797 0.0000
Pr 0.8203 0.8203 0.0000
Ta 0.3993 0.3993 0.0000
Ta 0.6007 0.6007 0.0000
N 0.0848 0.5848 0.5000
N 0.3012 0.3012 0.0000
N 0.4152 0.9152 0.5000
N 0.5848 0.0848 0.5000
N 0.6988 0.6988 0.0000
N 0.9152 0.4152 0.5000

Main lines, in order of rising 2θ (2θ = 15–90°):
2.868 Å, 31.19 deg, rel. 60; 2.840 Å, 31.50 deg, rel. 100; 2.028 Å, 44.69 deg, rel. 29; 1.650 Å, 55.70 deg, rel. 42; 1.634 Å, 56.29 deg, rel. 13; 1.434 Å, 65.03 deg, rel. 12; 1.420 Å, 65.76 deg, rel. 11; 1.283 Å, 73.89 deg, rel. 13

Record 3
Structure and simulated powder diffraction line list of PrTeN3 (a structure optimized by DFT (PBE); CuKα).
Neutral-atom scattering factors, no anomalous dispersion.

Cell and atoms:
Lattice parameters (Å, degrees): 5.7101 5.7101 5.7101 120.46 90.31 119.18
Atoms (fractional coordinates):
Pr 0.2618 0.0118 0.2500
Pr 0.7382 0.9882 0.7500
Te 0.0000 0.5000 0.5000
Te 0.5000 0.5000 0.0000
N 0.1666 0.4166 0.7500
N 0.3012 0.0000 0.8012
N 0.3012 0.5000 0.3012
N 0.6988 0.0000 0.1988
N 0.6988 0.5000 0.6988
N 0.8334 0.5834 0.2500

Main lines, in order of rising 2θ (2θ = 15–90°):
2.890 Å, 30.94 deg, rel. 24; 2.855 Å, 31.33 deg, rel. 100; 2.835 Å, 31.56 deg, rel. 24; 2.024 Å, 44.78 deg, rel. 25; 1.662 Å, 55.28 deg, rel. 21; 1.641 Å, 56.04 deg, rel. 30; 1.427 Å, 65.38 deg, rel. 14; 1.274 Å, 74.50 deg, rel. 12

Record 4
Structure and simulated powder diffraction line list of PrTm2N3 (a structure optimized by DFT (PBE); CuKα).
Neutral-atom scattering factors, no anomalous dispersion.

Cell and atoms:
Lattice parameters (Å, degrees): 3.4795 3.4795 8.5539 90.00 90.00 120.00
Atoms (fractional coordinates):
Pr 0.0000 0.0000 0.0000
Tm 0.3333 0.6667 0.3407
Tm 0.6667 0.3333 0.6593
N 0.0000 0.0000 0.5000
N 0.3333 0.6667 0.8170
N 0.6667 0.3333 0.1830

Main lines, in order of rising 2θ (2θ = 15–90°):
2.851 Å, 31.37 deg, rel. 33; 2.842 Å, 31.48 deg, rel. 100; 2.463 Å, 36.48 deg, rel. 96; 1.744 Å, 52.47 deg, rel. 32; 1.740 Å, 52.61 deg, rel. 33; 1.488 Å, 62.42 deg, rel. 15; 1.485 Å, 62.56 deg, rel. 44; 1.421 Å, 65.71 deg, rel. 17

Record 5
Structure and simulated powder diffraction line list of Pr3W2N6 (a structure optimized by DFT (PBE); CuKα).
Neutral-atom scattering factors, no anomalous dispersion.

Cell and atoms:
Lattice parameters (Å, degrees): 10.2361 10.2361 10.2361 157.49 157.49 32.05
Atoms (fractional coordinates):
Pr 0.0000 0.0000 0.0000
Pr 0.1820 0.1820 0.0000
Pr 0.8180 0.8180 0.0000
W 0.4029 0.4029 0.0000
W 0.5971 0.5971 0.0000
N 0.0875 0.5875 0.5000
N 0.3031 0.3031 0.0000
N 0.4125 0.9125 0.5000
N 0.5875 0.0875 0.5000
N 0.6969 0.6969 0.0000
N 0.9125 0.4125 0.5000

Main lines, in order of rising 2θ (2θ = 15–90°):
2.826 Å, 31.67 deg, rel. 58; 2.804 Å, 31.92 deg, rel. 100; 1.998 Å, 45.39 deg, rel. 28; 1.627 Å, 56.56 deg, rel. 40; 1.615 Å, 57.04 deg, rel. 14; 1.402 Å, 66.72 deg, rel. 11; 1.264 Å, 75.19 deg, rel. 10; 1.262 Å, 75.33 deg, rel. 9

Record 6
Structure and simulated powder diffraction line list of Pr3WN5 (a structure optimized by DFT (PBE); CuKα).
Neutral-atom scattering factors, no anomalous dispersion.

Cell and atoms:
Lattice parameters (Å, degrees): 7.5912 7.5912 7.5912 126.37 126.37 79.28
Atoms (fractional coordinates):
Pr 0.1765 0.6765 0.8529
Pr 0.2500 0.2500 0.0000
Pr 0.3235 0.1765 0.5000
Pr 0.6765 0.8235 0.5000
Pr 0.7500 0.7500 0.0000
Pr 0.8235 0.3235 0.1471
W 0.2500 0.7500 0.5000
W 0.7500 0.2500 0.5000
N 0.0000 0.0000 0.0000
N 0.0006 0.1950 0.5000
N 0.1950 0.6950 0.1944
N 0.3050 0.4994 0.5000
N 0.4994 0.9994 0.1944
N 0.5000 0.5000 0.0000
N 0.5006 0.0006 0.8056
N 0.6950 0.5006 0.5000
N 0.8050 0.3050 0.8056
N 0.9994 0.8050 0.5000

Main lines, in order of rising 2θ (2θ = 15–90°):
2.957 Å, 30.23 deg, rel. 100; 2.923 Å, 30.59 deg, rel. 28; 2.422 Å, 37.13 deg, rel. 20; 2.408 Å, 37.34 deg, rel. 23; 1.865 Å, 48.84 deg, rel. 17; 1.694 Å, 54.16 deg, rel. 17; 1.644 Å, 55.94 deg, rel. 15; 1.357 Å, 69.26 deg, rel. 9